Record 1
Diffraction record for Mg14CrBi. The powder XRD pattern is calculated, not measured: it uses a crystal structure in Alexandria, relaxed with GGA-PBE and copper Kα.
No peak broadening, texture or thermal motion is included.

Principal peaks in the range 2θ = 10–90°, sorted by position:
2θ/deg, d/Å, Rel. int.
16.0, 5.549, 55
18.2, 4.880, 41
23.6, 3.765, 45
32.3, 2.775, 31
33.0, 2.717, 20
35.0, 2.563, 24
36.8, 2.440, 100
48.3, 1.883, 20
64.0, 1.455, 19
69.2, 1.358, 19

Cell and atoms:
Cell: 6.408 6.408 10.250 Å, 90.00 90.00 120.00°
Fractional coordinates of all 16 atoms:
Mg: 0.000 0.000 0.247
Mg: 0.000 0.000 0.753
Mg: 0.001 0.500 0.259
Mg: 0.001 0.500 0.741
Mg: 0.331 0.166 0.500
Mg: 0.335 0.167 0.000
Mg: 0.500 0.500 0.259
Mg: 0.500 0.500 0.741
Mg: 0.500 0.999 0.259
Mg: 0.500 0.999 0.741
Mg: 0.833 0.167 0.000
Mg: 0.833 0.665 0.000
Mg: 0.834 0.166 0.500
Mg: 0.834 0.669 0.500
Cr: 0.333 0.667 0.500
Bi: 0.333 0.667 0.000

---

Record 2
Diffraction record for Ca2Hg2Br. The powder XRD pattern is calculated, not measured: it uses a crystal structure in Alexandria, relaxed with GGA-PBE and copper Kα.
No peak broadening, texture or thermal motion is included.

Principal peaks in the range 2θ = 10–90°, sorted by position:
2θ/deg, d/Å, Rel. int.
15.2, 5.810, 17
24.2, 3.675, 39
25.1, 3.547, 46
31.5, 2.841, 100
34.5, 2.598, 35
40.3, 2.239, 17
44.6, 2.031, 20
48.8, 1.867, 25
54.1, 1.696, 19
64.5, 1.445, 17

Cell and atoms:
Cell: 8.217 8.217 4.479 Å, 90.00 90.00 90.00°
Fractional coordinates of all 10 atoms:
Ca: 0.174 0.326 0.000
Ca: 0.326 0.826 0.000
Ca: 0.674 0.174 0.000
Ca: 0.826 0.674 0.000
Hg: 0.129 0.629 0.500
Hg: 0.371 0.129 0.500
Hg: 0.629 0.871 0.500
Hg: 0.871 0.371 0.500
Br: 0.000 0.000 0.000
Br: 0.500 0.500 0.000

---

Record 3
Diffraction record for Tb6Pr4Tm. The powder XRD pattern is calculated, not measured: it uses a crystal structure in Alexandria, relaxed with GGA-PBE and copper Kα.
No peak broadening, texture or thermal motion is included.

Principal peaks in the range 2θ = 10–90°, sorted by position:
2θ/deg, d/Å, Rel. int.
28.2, 3.167, 45
28.6, 3.121, 66
29.4, 3.035, 34
30.2, 2.956, 100
34.0, 2.634, 78
36.9, 2.434, 30
37.9, 2.373, 31
40.1, 2.251, 30
56.8, 1.620, 29
57.6, 1.601, 25

Cell and atoms:
Cell: 9.741 9.741 9.741 Å, 139.70 139.70 58.31°
Fractional coordinates of all 11 atoms:
Tb: 0.000 0.500 0.500
Tb: 0.054 0.701 0.000
Tb: 0.299 0.299 0.353
Tb: 0.500 0.000 0.500
Tb: 0.701 0.054 0.000
Tb: 0.946 0.946 0.647
Pr: 0.134 0.134 0.620
Pr: 0.486 0.866 0.000
Pr: 0.514 0.514 0.380
Pr: 0.866 0.486 0.000
Tm: 0.500 0.500 0.000

---

Record 4
Diffraction record for LaIrRu2. The powder XRD pattern is calculated, not measured: it uses a crystal structure in Alexandria, relaxed with GGA-PBE and copper Kα.
No peak broadening, texture or thermal motion is included.

Principal peaks in the range 2θ = 10–90°, sorted by position:
2θ/deg, d/Å, Rel. int.
16.9, 5.260, 23
36.0, 2.495, 51
36.9, 2.434, 100
39.2, 2.298, 44
42.7, 2.117, 25
43.6, 2.075, 69
60.5, 1.531, 17
64.9, 1.437, 16
76.3, 1.248, 16
78.6, 1.217, 20

Cell and atoms:
Cell: 9.360 2.975 5.357 Å, 90.00 100.91 90.00°
Fractional coordinates of all 8 atoms:
La: 0.000 0.000 0.000
La: 0.500 0.500 0.000
Ir: 0.000 0.500 0.500
Ir: 0.500 0.000 0.500
Ru: 0.235 0.000 0.687
Ru: 0.265 0.500 0.313
Ru: 0.735 0.500 0.687
Ru: 0.765 0.000 0.313

---

Record 5
Diffraction record for SrLiO4. The powder XRD pattern is calculated, not measured: it uses a crystal structure in Alexandria, relaxed with GGA-PBE and copper Kα.
No peak broadening, texture or thermal motion is included.

Principal peaks in the range 2θ = 10–90°, sorted by position:
2θ/deg, d/Å, Rel. int.
15.0, 5.887, 97
24.7, 3.607, 54
27.5, 3.238, 54
30.4, 2.938, 37
34.5, 2.600, 100
36.3, 2.476, 47
44.8, 2.025, 16
46.2, 1.966, 36
48.5, 1.878, 28
48.7, 1.870, 28

Cell and atoms:
Cell: 7.256 3.742 6.602 Å, 90.00 116.91 90.00°
Fractional coordinates of all 12 atoms:
Sr: 0.000 0.000 0.000
Sr: 0.500 0.500 0.000
Li: 0.000 0.500 0.500
Li: 0.500 0.000 0.500
O: 0.099 0.500 0.274
O: 0.213 0.000 0.744
O: 0.287 0.500 0.256
O: 0.401 0.000 0.726
O: 0.599 0.000 0.274
O: 0.713 0.500 0.744
O: 0.787 0.000 0.256
O: 0.901 0.500 0.726

---

Record 6
Diffraction record for Pm2Sm2Au3. The powder XRD pattern is calculated, not measured: it uses a crystal structure in Alexandria, relaxed with GGA-PBE and copper Kα.
No peak broadening, texture or thermal motion is included.

Principal peaks in the range 2θ = 10–90°, sorted by position:
2θ/deg, d/Å, Rel. int.
30.9, 2.891, 100
36.8, 2.444, 62
44.3, 2.045, 18
46.6, 1.949, 13
48.8, 1.866, 12
50.9, 1.793, 20
62.6, 1.483, 29
64.5, 1.446, 11
66.2, 1.411, 14
76.6, 1.244, 20

Cell and atoms:
Cell: 7.918 7.918 7.918 Å, 109.47 109.47 109.47°
Fractional coordinates of all 14 atoms:
Pm: 0.000 0.360 0.500
Pm: 0.140 0.140 0.140
Pm: 0.360 0.500 0.000
Pm: 0.500 0.000 0.360
Sm: 0.000 0.861 0.500
Sm: 0.500 0.000 0.861
Sm: 0.639 0.639 0.639
Sm: 0.861 0.500 0.000
Au: 0.123 0.750 0.873
Au: 0.250 0.627 0.377
Au: 0.377 0.250 0.627
Au: 0.627 0.377 0.250
Au: 0.750 0.873 0.123
Au: 0.873 0.123 0.750

---

Record 7
Diffraction record for DyBe17Re. The powder XRD pattern is calculated, not measured: it uses a crystal structure in Alexandria, relaxed with GGA-PBE and copper Kα.
No peak broadening, texture or thermal motion is included.

Principal peaks in the range 2θ = 10–90°, sorted by position:
2θ/deg, d/Å, Rel. int.
16.0, 5.554, 66
21.4, 4.158, 27
23.9, 3.730, 100
24.6, 3.622, 31
28.8, 3.097, 20
34.5, 2.599, 90
41.9, 2.154, 30
48.8, 1.865, 23
49.2, 1.851, 42
71.9, 1.314, 23

Cell and atoms:
Cell: 5.628 5.628 5.628 Å, 83.03 83.03 83.03°
Fractional coordinates of all 19 atoms:
Dy: 0.000 0.000 0.000
Be: 0.010 0.010 0.495
Be: 0.010 0.495 0.010
Be: 0.159 0.659 0.659
Be: 0.321 0.321 0.811
Be: 0.321 0.811 0.321
Be: 0.372 0.653 0.955
Be: 0.372 0.955 0.653
Be: 0.495 0.010 0.010
Be: 0.557 0.557 0.557
Be: 0.653 0.372 0.955
Be: 0.653 0.955 0.372
Be: 0.659 0.159 0.659
Be: 0.659 0.659 0.159
Be: 0.751 0.751 0.751
Be: 0.811 0.321 0.321
Be: 0.955 0.372 0.653
Be: 0.955 0.653 0.372
Re: 0.324 0.324 0.324

---

Record 8
Diffraction record for Pm2Cd4Ag5. The powder XRD pattern is calculated, not measured: it uses a crystal structure in Alexandria, relaxed with GGA-PBE and copper Kα.
No peak broadening, texture or thermal motion is included.

Principal peaks in the range 2θ = 10–90°, sorted by position:
2θ/deg, d/Å, Rel. int.
30.6, 2.923, 49
33.2, 2.699, 42
34.4, 2.606, 35
36.8, 2.440, 87
37.5, 2.398, 51
37.8, 2.383, 19
38.3, 2.352, 100
60.3, 1.534, 21
60.7, 1.525, 29
72.8, 1.299, 22

Cell and atoms:
Cell: 7.226 7.226 7.226 Å, 133.82 100.86 96.85°
Fractional coordinates of all 11 atoms:
Pm: 0.209 0.209 0.000
Pm: 0.791 0.791 0.000
Cd: 0.071 0.739 0.332
Cd: 0.407 0.739 0.668
Cd: 0.593 0.261 0.332
Cd: 0.929 0.261 0.668
Ag: 0.000 0.500 0.500
Ag: 0.332 0.255 0.586
Ag: 0.332 0.745 0.077
Ag: 0.668 0.255 0.923
Ag: 0.668 0.745 0.414